Record 1
Structure and theoretical powder X-ray diffraction pattern of Pm4Hg5Pt2 (DFT lattice parameters and positions (PBE); Cu Kα (λ = 1.5418 Å)).
Neutral-atom scattering factors, no anomalous dispersion.

Principal peaks in the range 15° ≤ 2θ ≤ 90°, by angle:
d/Å, Rel. int.
3.729, 55
2.807, 86
2.729, 100
2.693, 80
2.596, 50
2.584, 45
2.564, 39
2.553, 37
2.448, 53
2.409, 92
2.371, 46
1.864, 51

Crystal structure
Unit cell a=7.8079 b=3.7289 c=9.7620 alpha=90.00 beta=94.01 gamma=90.00
Element x y z (fractional)
Pm: 0.1793 0.0000 0.3548
Pm: 0.2292 0.0000 0.9385
Pm: 0.7708 0.0000 0.0615
Pm: 0.8207 0.0000 0.6452
Hg: 0.1706 0.5000 0.6428
Hg: 0.4560 0.5000 0.1753
Hg: 0.5000 0.5000 0.5000
Hg: 0.5440 0.5000 0.8247
Hg: 0.8294 0.5000 0.3572
Pt: 0.0737 0.5000 0.1367
Pt: 0.9263 0.5000 0.8633

=====

Record 2
Structure and theoretical powder X-ray diffraction pattern of Pm4HgPt2 (DFT lattice parameters and positions (PBE); Cu Kα (λ = 1.5418 Å)).
Neutral-atom scattering factors, no anomalous dispersion.

Principal peaks in the range 15° ≤ 2θ ≤ 90°, by angle:
d/Å, Rel. int.
4.730, 27
3.863, 23
3.345, 46
2.992, 96
2.529, 100
2.365, 45
2.017, 35
1.931, 41
1.856, 36
1.338, 21
1.264, 25
1.202, 21

Crystal structure
Unit cell a=8.1940 b=8.1940 c=8.1940 alpha=109.48 beta=109.48 gamma=109.46
Element x y z (fractional)
Pm: 0.0825 0.3981 0.3152
Pm: 0.0829 0.7673 0.6848
Pm: 0.1481 0.3325 0.8152
Pm: 0.2327 0.9175 0.3156
Pm: 0.5173 0.3329 0.1848
Pm: 0.6019 0.9171 0.6844
Pm: 0.6671 0.8519 0.1844
Pm: 0.6675 0.4827 0.8156
Hg: 0.0000 0.0000 0.0000
Hg: 0.7500 0.2500 0.5000
Pt: 0.3755 0.1250 0.7505
Pt: 0.3745 0.6250 0.2495
Pt: 0.3750 0.6245 0.7495
Pt: 0.8750 0.6255 0.2505

=====

Record 3
Structure and theoretical powder X-ray diffraction pattern of Pm2Hg3Pt2 (DFT lattice parameters and positions (PBE); Cu Kα (λ = 1.5418 Å)).
Neutral-atom scattering factors, no anomalous dispersion.

Principal peaks in the range 15° ≤ 2θ ≤ 90°, by angle:
d/Å, Rel. int.
2.825, 100
2.554, 42
2.449, 62
2.351, 22
2.170, 30
2.140, 12
2.056, 13
1.892, 20
1.653, 23
1.497, 27
1.426, 16
1.348, 11

Crystal structure
Unit cell a=10.6061 b=10.6061 c=3.7839 alpha=90.00 beta=90.00 gamma=156.39
Element x y z (fractional)
Pm: 0.1690 0.8310 0.0000
Pm: 0.8310 0.1690 0.0000
Hg: 0.0000 0.0000 0.0000
Hg: 0.4283 0.5717 0.5000
Hg: 0.5717 0.4283 0.5000
Pt: 0.2927 0.7073 0.5000
Pt: 0.7073 0.2927 0.5000

=====

Record 4
Structure and theoretical powder X-ray diffraction pattern of PmHgPt (DFT lattice parameters and positions (PBE); Cu Kα (λ = 1.5418 Å)).
Neutral-atom scattering factors, no anomalous dispersion.

Principal peaks in the range 15° ≤ 2θ ≤ 90°, by angle:
d/Å, Rel. int.
2.790, 33
2.775, 100
2.732, 26
2.577, 52
2.560, 74
2.369, 26
2.266, 53
2.242, 33
2.159, 30
1.977, 41
1.490, 29
1.443, 30

Crystal structure
Unit cell a=13.4492 b=3.9544 c=7.8762 alpha=90.00 beta=90.00 gamma=90.00
Element x y z (fractional)
Pm: 0.0509 0.0000 0.2311
Pm: 0.2500 0.0000 0.8260
Pm: 0.4491 0.0000 0.2311
Pm: 0.5509 0.0000 0.7689
Pm: 0.7500 0.0000 0.1740
Pm: 0.9491 0.0000 0.7689
Hg: 0.1102 0.5000 0.5644
Hg: 0.2500 0.5000 0.1798
Hg: 0.3898 0.5000 0.5644
Hg: 0.6102 0.5000 0.4356
Hg: 0.7500 0.5000 0.8202
Hg: 0.8898 0.5000 0.4356
Pt: 0.0944 0.5000 0.9312
Pt: 0.2500 0.0000 0.4400
Pt: 0.4056 0.5000 0.9312
Pt: 0.5944 0.5000 0.0688
Pt: 0.7500 0.0000 0.5600
Pt: 0.9056 0.5000 0.0688